No. 1
Starting from a cell relaxed with GGA-PBE, the powder X-ray diffraction pattern of Cs3Li2CeBr9 was simulated for λ = 1.5418 Å (Cu Kα).
Peak positions follow from Bragg's law for the DFT cell and can differ from measured ones.

The 6 most intense peaks (10 to 80 degrees two-theta), by angle:
d 3.332, 2θ 26.75, rel. 28, hkl 0 0 3
d 3.266, 2θ 27.31, rel. 88, hkl 0 2 1
d 2.842, 2θ 31.48, rel. 100, hkl 2 0 2
d 2.025, 2θ 44.76, rel. 33, hkl 0 2 4
d 1.995, 2θ 45.47, rel. 36, hkl 2 2 0
d 1.712, 2θ 53.54, rel. 24, hkl 2 2 3

```
Cs3Li2CeBr9
1.0
7.9799 0.0000 0.0000
-3.9899 6.9108 0.0000
0.0000 0.0000 9.9963
Cs Li Ce Br
3 2 1 9
Cartesian
0.0000 0.0000 0.0000
0.0000 4.6072 6.9694
3.9899 2.3036 3.0269
0.0000 4.6072 0.9885
3.9899 2.3036 9.0077
0.0000 0.0000 4.9981
-1.9950 3.4554 0.0000
0.0000 2.2863 3.3877
-2.0100 5.7676 3.3877
1.9800 1.1431 6.6086
3.9899 0.0000 0.0000
1.9950 3.4554 0.0000
2.0100 5.7676 3.3877
5.9999 1.1431 6.6086
3.9899 4.6245 6.6086
```



No. 2
Starting from a cell relaxed with GGA-PBE, the powder X-ray diffraction pattern of Cr2SiCl was simulated for λ = 1.5418 Å (Cu Kα).
Peak positions follow from Bragg's law for the DFT cell and can differ from measured ones.

The 6 most intense peaks (10 to 80 degrees two-theta), by angle:
d 6.593, 2θ 13.43, rel. 23, hkl 0 0 1
d 3.562, 2θ 25.00, rel. 56, hkl 2 0 -1
d 3.153, 2θ 28.31, rel. 27, hkl 2 0 0
d 2.374, 2θ 37.89, rel. 35, hkl 1 1 1
d 2.362, 2θ 38.09, rel. 100, hkl 1 1 -2
d 1.859, 2θ 48.99, rel. 38, hkl 2 0 -4

```
Cr2SiCl
1.0
7.1255 0.0000 0.0000
0.0000 3.0597 0.0000
-3.4686 0.0000 6.5927
Cr Si Cl
4 2 2
Cartesian
-0.2690 0.0000 2.0299
0.3632 1.5299 4.5628
3.2937 1.5299 2.0299
3.9259 0.0000 4.5628
-1.7343 1.5299 3.2963
1.8284 0.0000 3.2963
0.0000 1.5299 0.0000
3.5627 0.0000 0.0000
```



No. 3
Starting from a cell relaxed with GGA-PBE, the powder X-ray diffraction pattern of PmZnAg4 was simulated for λ = 1.5418 Å (Cu Kα).
Peak positions follow from Bragg's law for the DFT cell and can differ from measured ones.

The 6 most intense peaks (10 to 80 degrees two-theta), by angle:
d 2.674, 2θ 33.51, rel. 100, hkl 2 1 1
d 2.585, 2θ 34.70, rel. 58, hkl 1 1 2
d 2.368, 2θ 38.00, rel. 23, hkl 1 0 3
d 2.269, 2θ 39.73, rel. 51, hkl 2 1 2
d 2.007, 2θ 45.18, rel. 32, hkl 0 2 0
d 1.433, 2θ 65.07, rel. 20, hkl 4 2 0

```
PmZnAg4
1.0
8.1919 0.0000 0.0000
0.0000 4.0139 0.0000
0.0000 0.0000 7.4209
Pm Zn Ag
2 2 8
Cartesian
2.0480 0.0000 0.7834
6.1439 0.0000 6.6374
2.0480 0.0000 5.2540
6.1439 0.0000 2.1669
0.0000 0.0000 3.7104
0.4297 2.0069 6.0363
2.0480 2.0069 3.2755
3.6663 2.0069 6.0363
4.0959 0.0000 3.7104
4.5256 2.0069 1.3846
6.1439 2.0069 4.1454
7.7622 2.0069 1.3846
```



No. 4
Starting from a cell relaxed with GGA-PBE, the powder X-ray diffraction pattern of Ba2Cl was simulated for λ = 1.5418 Å (Cu Kα).
Peak positions follow from Bragg's law for the DFT cell and can differ from measured ones.

The 6 most intense peaks (10 to 80 degrees two-theta), by angle:
d 3.940, 2θ 22.57, rel. 100, hkl 2 0 -2
d 3.918, 2θ 22.70, rel. 59, hkl 2 0 2
d 3.790, 2θ 23.47, rel. 68, hkl 1 1 1
d 3.250, 2θ 27.44, rel. 73, hkl 3 1 0
d 3.093, 2θ 28.87, rel. 59, hkl 1 1 2
d 2.165, 2θ 41.72, rel. 57, hkl 0 2 0

```
Ba2Cl
1.0
14.7640 0.0000 0.0000
0.0000 4.3278 0.0000
-0.0589 0.0000 9.2817
Ba Cl
8 4
Cartesian
0.0000 0.0000 0.0000
-0.0295 0.0000 4.6409
3.4007 2.1639 2.1350
3.9224 0.0000 7.1468
7.3820 2.1639 0.0000
7.3525 2.1639 4.6409
10.7826 0.0000 2.1350
11.3044 2.1639 7.1468
2.2305 2.1639 5.1764
5.0926 0.0000 4.1053
9.6124 0.0000 5.1764
12.4746 2.1639 4.1053
```



No. 5
Starting from a cell relaxed with GGA-PBE, the powder X-ray diffraction pattern of NaSn12 was simulated for λ = 1.5418 Å (Cu Kα).
Peak positions follow from Bragg's law for the DFT cell and can differ from measured ones.

The 6 most intense peaks (10 to 80 degrees two-theta), by angle:
d 5.780, 2θ 15.33, rel. 100, hkl 1 1 0
d 3.337, 2θ 26.71, rel. 67, hkl 2 1 1
d 2.360, 2θ 38.14, rel. 70, hkl 2 2 2
d 2.185, 2θ 41.33, rel. 43, hkl 3 2 1
d 2.044, 2θ 44.32, rel. 37, hkl 4 0 0
d 1.232, 2θ 77.45, rel. 29, hkl 6 2 2

```
NaSn12
1.0
8.1744 0.0000 0.0000
0.0000 8.1744 0.0000
0.0000 0.0000 8.1744
Na Sn
1 12
Cartesian
0.0000 0.0000 0.0000
0.0000 2.0321 4.0872
0.0000 4.0872 2.0321
0.0000 4.0872 6.1424
0.0000 6.1424 4.0872
2.0321 0.0000 4.0872
2.0321 4.0872 0.0000
4.0872 0.0000 2.0321
4.0872 0.0000 6.1424
4.0872 2.0321 0.0000
4.0872 6.1424 0.0000
6.1424 0.0000 4.0872
6.1424 4.0872 0.0000
```



No. 6
Starting from a cell relaxed with GGA-PBE, the powder X-ray diffraction pattern of Mg3Te4 was simulated for λ = 1.5418 Å (Cu Kα).
Peak positions follow from Bragg's law for the DFT cell and can differ from measured ones.

The 6 most intense peaks (10 to 80 degrees two-theta), by angle:
d 3.392, 2θ 26.27, rel. 100, hkl 1 1 1
d 2.938, 2θ 30.43, rel. 97, hkl 2 0 0
d 2.077, 2θ 43.57, rel. 72, hkl 2 2 0
d 1.771, 2θ 51.59, rel. 47, hkl 3 1 1
d 1.696, 2θ 54.07, rel. 25, hkl 2 2 2
d 1.314, 2θ 71.86, rel. 32, hkl 4 2 0

```
Mg3Te4
1.0
5.8752 0.0000 0.0000
0.0000 5.8752 0.0000
0.0000 0.0000 5.8752
Mg Te
3 4
Cartesian
0.0000 0.0000 2.9376
0.0000 2.9376 0.0000
2.9376 0.0000 0.0000
0.0000 0.0000 0.0000
0.0000 2.9376 2.9376
2.9376 0.0000 2.9376
2.9376 2.9376 0.0000
```



No. 7
Starting from a cell relaxed with GGA-PBE, the powder X-ray diffraction pattern of Al6ZnGa8 was simulated for λ = 1.5418 Å (Cu Kα).
Peak positions follow from Bragg's law for the DFT cell and can differ from measured ones.

The 6 most intense peaks (10 to 80 degrees two-theta), by angle:
d 3.115, 2θ 28.66, rel. 99, hkl 2 -1 1
d 2.370, 2θ 37.97, rel. 100, hkl 1 1 2
d 2.214, 2θ 40.76, rel. 22, hkl 2 0 2
d 2.066, 2θ 43.81, rel. 77, hkl 3 0 0
d 1.721, 2θ 53.21, rel. 21, hkl 2 2 1
d 1.558, 2θ 59.34, rel. 20, hkl 4 -2 2

```
Al6ZnGa8
1.0
7.1582 0.0000 0.0000
-3.5791 6.1992 0.0000
0.0000 0.0000 6.3253
Al Zn Ga
6 1 8
Cartesian
-0.9334 2.2750 2.1262
-1.1422 5.8701 2.1262
1.5035 1.9458 4.1991
2.0756 4.2534 2.1262
4.7213 0.3291 4.1991
4.5125 3.9242 4.1991
0.0000 0.0000 3.1626
-1.0153 2.1171 5.6164
-1.2380 6.0199 5.6164
0.0000 4.1328 3.8845
1.3258 1.9378 0.7089
2.2533 4.2614 5.6164
3.5791 2.0664 2.4408
4.8171 0.1793 0.7089
4.5944 4.0821 0.7089
```



Please write out number 1 again, unchanged.
Starting from a cell relaxed with GGA-PBE, the powder X-ray diffraction pattern of Cs3Li2CeBr9 was simulated for λ = 1.5418 Å (Cu Kα).
Peak positions follow from Bragg's law for the DFT cell and can differ from measured ones.

The 6 most intense peaks (10 to 80 degrees two-theta), by angle:
d 3.332, 2θ 26.75, rel. 28, hkl 0 0 3
d 3.266, 2θ 27.31, rel. 88, hkl 0 2 1
d 2.842, 2θ 31.48, rel. 100, hkl 2 0 2
d 2.025, 2θ 44.76, rel. 33, hkl 0 2 4
d 1.995, 2θ 45.47, rel. 36, hkl 2 2 0
d 1.712, 2θ 53.54, rel. 24, hkl 2 2 3

```
Cs3Li2CeBr9
1.0
7.9799 0.0000 0.0000
-3.9899 6.9108 0.0000
0.0000 0.0000 9.9963
Cs Li Ce Br
3 2 1 9
Cartesian
0.0000 0.0000 0.0000
0.0000 4.6072 6.9694
3.9899 2.3036 3.0269
0.0000 4.6072 0.9885
3.9899 2.3036 9.0077
0.0000 0.0000 4.9981
-1.9950 3.4554 0.0000
0.0000 2.2863 3.3877
-2.0100 5.7676 3.3877
1.9800 1.1431 6.6086
3.9899 0.0000 0.0000
1.9950 3.4554 0.0000
2.0100 5.7676 3.3877
5.9999 1.1431 6.6086
3.9899 4.6245 6.6086
```